Diffraction record for LaMgFe2O6. The PXRD pattern is computed, not measured: it uses a cell relaxed with PBE+U and Cu Ka.

abc: 7.713 5.496 5.354
angles: 90.00 90.00 90.00
Atoms (fractional coordinates):
La1 0.000 0.217 0.000
La2 0.500 0.783 0.500
Mg1 0.000 0.694 0.466
Mg2 0.500 0.306 0.966
Fe1 0.248 0.750 0.992
Fe2 0.252 0.250 0.492
Fe3 0.748 0.250 0.492
Fe4 0.752 0.750 0.992
O1 0.000 0.295 0.569
O2 0.000 0.771 0.862
O3 0.192 0.949 0.300
O4 0.196 0.482 0.223
O5 0.304 0.518 0.723
O6 0.308 0.051 0.800
O7 0.500 0.229 0.362
O8 0.500 0.705 0.069
O9 0.692 0.051 0.800
O10 0.696 0.518 0.723
O11 0.804 0.482 0.223
O12 0.808 0.949 0.300

Peak list (6 most intense, 2θ from 15° to 90°, most intense first)
32.94 deg, 2.719 Å, I 100, (2 1 1); 19.84 deg, 4.476 Å, I 31, (1 1 0); 20.19 deg, 4.398 Å, I 31, (1 0 1); 47.41 deg, 1.917 Å, I 28, (0 2 2); 59.50 deg, 1.554 Å, I 23, (2 1 3); 32.59 deg, 2.748 Å, I 23, (0 2 0)